For YAgGe, DFT lattice parameters and positions (GGA-PBE) gives the simulated X-ray powder pattern in this record (copper Kα).
Intensities are scaled so that the largest is 100.

Structure:
Cell lengths 7.2263, 7.2263, 4.1969 Å; angles 90.00, 90.00, 120.00 degrees
Space group P-62m (No. 189)
Asymmetric unit:
Y  0.0000  0.5861  0.0000
Ag  0.0000  0.2527  0.5000
Ge  0.0000  0.0000  0.0000
Ge  0.3333  0.6667  0.5000

Peak list (12 most intense, 5° ≤ 2θ ≤ 70°, low angle first)
| Position (°2θ) | d_spacing | Rel. int. | hkl |
| --- | --- | --- | --- |
| 21.2 | 4.197 | 6 | 0 0 1 |
| 32.7 | 2.738 | 100 | 1 1 1 |
| 35.8 | 2.509 | 90 | 2 0 1 |
| 38.0 | 2.365 | 54 | 2 1 0 |
| 43.1 | 2.098 | 32 | 0 0 2 |
| 43.4 | 2.086 | 27 | 3 0 0 |
| 43.9 | 2.061 | 32 | 2 1 1 |
| 52.7 | 1.736 | 7 | 3 1 0 |
| 57.5 | 1.604 | 11 | 3 1 1 |
| 58.8 | 1.570 | 29 | 2 1 2 |
| 62.8 | 1.479 | 18 | 3 0 2 |
| 69.2 | 1.358 | 28 | 3 2 1 |

***

For AgH, DFT lattice parameters and positions (GGA-PBE) gives the simulated X-ray powder pattern in this record (copper Kα).
Intensities are scaled so that the largest is 100.

Structure:
Cell lengths 3.2229, 3.2229, 5.1819 Å; angles 90.00, 90.00, 120.00 degrees
Space group P6_3mc (No. 186)
Asymmetric unit:
Ag  0.3333  0.6667  0.0000
H  0.3333  0.6667  0.3798

Peak list (9 most intense, 5° ≤ 2θ ≤ 70°, low angle first)
| Position (°2θ) | d_spacing | Rel. int. | hkl |
| --- | --- | --- | --- |
| 32.1 | 2.791 | 25 | 1 0 0 |
| 34.6 | 2.591 | 26 | 0 0 2 |
| 36.6 | 2.457 | 100 | 1 0 1 |
| 47.9 | 1.899 | 15 | 1 0 2 |
| 57.2 | 1.611 | 18 | 1 1 0 |
| 63.3 | 1.469 | 19 | 1 0 3 |
| 67.1 | 1.396 | 3 | 2 0 0 |
| 68.6 | 1.368 | 20 | 1 1 2 |
| 69.8 | 1.348 | 14 | 2 0 1 |